# 1
# CaCuF5
Calculated powder XRD pattern, λ = 1.5418 Å (Cu Kα). Input: a DFT-relaxed cell (GGA-PBE, the Materials Project).

Atomic structure:
a b c (Å): 5.5443 5.5554 7.7108
angles (deg): 69.38 69.64 71.16
Element x y z (fractional)
Ca1 0.0000 0.0000 0.0000
Ca2 0.0866 0.9078 0.5038
Cu1 0.5389 0.4565 0.2484
Cu2 0.5423 0.4547 0.7498
F1 0.2337 0.7482 0.2258
F2 0.2610 0.7688 0.7731
F3 0.2887 0.2509 0.8710
F4 0.3273 0.2209 0.3641
F5 0.4701 0.5195 0.5044
F6 0.6091 0.3844 0.9966
F7 0.7486 0.6955 0.1324
F8 0.7917 0.6640 0.6286
F9 0.8288 0.1457 0.7285
F10 0.8478 0.1695 0.2726

Peak list (6 most intense, 2θ from 15° to 90°, by angle)
d (Å)  2θ (°)  intensity
5.061  17.52  29
4.074  21.81  100
3.316  26.88  48
3.304  26.98  47
3.229  27.63  48
2.037  44.47  31

# 2
# CaCuF5
Calculated powder XRD pattern, λ = 1.5418 Å (Cu Kα). Input: a DFT-relaxed cell (GGA-PBE, the Materials Project).

Atomic structure:
a b c (Å): 5.4883 10.0227 7.7275
angles (deg): 90.00 110.33 90.00
Element x y z (fractional)
Ca1 0.0297 0.0208 0.2555
Ca2 0.0297 0.4792 0.7555
Ca3 0.9703 0.5208 0.2445
Ca4 0.9703 0.9792 0.7445
Cu1 0.3908 0.2462 0.5987
Cu2 0.3908 0.2538 0.0987
Cu3 0.6092 0.7462 0.9013
Cu4 0.6092 0.7538 0.4013
F1 0.1123 0.1183 0.5546
F2 0.1123 0.3817 0.0546
F3 0.1445 0.1124 0.0076
F4 0.1445 0.3876 0.5076
F5 0.3336 0.6376 0.3606
F6 0.3336 0.8624 0.8606
F7 0.3476 0.2026 0.3373
F8 0.3476 0.2974 0.8373
F9 0.3817 0.6059 0.8116
F10 0.3817 0.8941 0.3116
F11 0.6183 0.1059 0.6884
F12 0.6183 0.3941 0.1884
F13 0.6524 0.7026 0.1627
F14 0.6524 0.7974 0.6627
F15 0.6664 0.1376 0.1394
F16 0.6664 0.3624 0.6394
F17 0.8555 0.6124 0.4924
F18 0.8555 0.8876 0.9924
F19 0.8877 0.6183 0.9454
F20 0.8877 0.8817 0.4454

Peak list (6 most intense, 2θ from 15° to 90°, by angle)
d (Å)  2θ (°)  intensity
4.578  19.39  56
3.590  24.80  100
3.403  26.19  99
2.933  30.48  28
2.039  44.44  40
1.932  47.04  25

# 3
# Ca2GaCu2
Calculated powder XRD pattern, λ = 1.5418 Å (Cu Kα). Input: a DFT-relaxed cell (GGA-PBE, the Materials Project).

Atomic structure:
a b c (Å): 5.6869 5.6869 5.6869
angles (deg): 136.33 122.18 75.18
Element x y z (fractional)
Ca1 0.1960 0.1960 0.0000
Ca2 0.8040 0.8040 0.0000
Ga1 0.5000 0.0000 0.5000
Cu1 0.2399 0.5000 0.7399
Cu2 0.7601 0.5000 0.2601

Peak list (6 most intense, 2θ from 15° to 90°, by angle)
d (Å)  2θ (°)  intensity
4.506  19.70  58
2.690  33.31  66
2.636  34.00  27
2.233  40.38  100
2.115  42.75  32
1.420  65.76  32

# 4
# CaGa2Cu3Sb2O12
Calculated powder XRD pattern, λ = 1.5418 Å (Cu Kα). Input: a DFT-relaxed cell (GGA-PBE, the Materials Project).

Atomic structure:
a b c (Å): 7.5587 7.5587 7.5587
angles (deg): 90.00 90.00 90.00
Element x y z (fractional)
Ca1 0.2500 0.2500 0.2500
Ca2 0.7500 0.7500 0.7500
Ga1 0.0000 0.0000 0.0000
Ga2 0.0000 0.5000 0.5000
Ga3 0.5000 0.0000 0.5000
Ga4 0.5000 0.5000 0.0000
Cu1 0.2500 0.2500 0.7500
Cu2 0.2500 0.7500 0.2500
Cu3 0.2500 0.7500 0.7500
Cu4 0.7500 0.2500 0.2500
Cu5 0.7500 0.2500 0.7500
Cu6 0.7500 0.7500 0.2500
Sb1 0.0000 0.0000 0.5000
Sb2 0.0000 0.5000 0.0000
Sb3 0.5000 0.0000 0.0000
Sb4 0.5000 0.5000 0.5000
O1 0.0541 0.7498 0.5741
O2 0.0541 0.7502 0.9259
O3 0.0741 0.5541 0.2502
O4 0.0741 0.9459 0.2498
O5 0.2502 0.0741 0.5541
O6 0.2498 0.0741 0.9459
O7 0.2498 0.4259 0.5541
O8 0.2502 0.4259 0.9459
O9 0.4259 0.5541 0.2498
O10 0.4259 0.9459 0.2502
O11 0.4459 0.7502 0.5741
O12 0.4459 0.7498 0.9259
O13 0.5541 0.2502 0.0741
O14 0.5541 0.2498 0.4259
O15 0.5741 0.0541 0.7498
O16 0.5741 0.4459 0.7502
O17 0.7498 0.5741 0.0541
O18 0.7502 0.5741 0.4459
O19 0.7502 0.9259 0.0541
O20 0.7498 0.9259 0.4459
O21 0.9259 0.0541 0.7502
O22 0.9259 0.4459 0.7498
O23 0.9459 0.2498 0.0741
O24 0.9459 0.2502 0.4259

Peak list (6 most intense, 2θ from 15° to 90°, by angle)
d (Å)  2θ (°)  intensity
3.779  23.54  10
2.672  33.53  100
1.890  48.15  25
1.543  59.95  47
1.336  70.47  13
1.195  80.34  17